(1)
Starting from a structure optimized by DFT (PBE), the powder diffractogram of AsAu was computed for Cu Kα X-rays.
Neutral-atom scattering factors, no anomalous dispersion.

Principal peaks in the range 2θ from 10° to 90°, low angle first:
| 2θ (°) | Rel. int. |
| --- | --- |
| 13.81 | 21 |
| 27.82 | 24 |
| 29.12 | 30 |
| 30.59 | 56 |
| 38.94 | 100 |
| 41.82 | 20 |
| 45.30 | 21 |
| 45.56 | 21 |
| 46.29 | 14 |
| 58.21 | 14 |
| 66.20 | 14 |
| 79.36 | 13 |

Cell and atoms:
```
AsAu
1.0
-1.579 2.002 6.414
1.579 -2.002 6.414
1.579 2.002 -6.414
As Au
2 2
Cartesian
0.000 1.001 2.035
1.579 1.001 4.378
1.579 1.001 -1.074
0.000 1.001 7.488
```

---

(2)
Starting from a structure optimized by DFT (PBE), the powder diffractogram of TmCdIn6 was computed for Cu Kα X-rays.
Neutral-atom scattering factors, no anomalous dispersion.

Principal peaks in the range 2θ from 10° to 90°, low angle first:
| 2θ (°) | Rel. int. |
| --- | --- |
| 33.23 | 100 |
| 37.17 | 18 |
| 38.59 | 17 |
| 39.86 | 15 |
| 54.66 | 12 |
| 55.64 | 11 |
| 56.68 | 10 |
| 64.52 | 14 |
| 66.43 | 13 |
| 68.18 | 12 |
| 69.75 | 11 |
| 79.21 | 2 |

Cell and atoms:
```
TmCdIn6
1.0
4.523 -4.837 0.000
4.523 4.837 0.000
0.000 0.000 4.667
Tm Cd In
1 1 6
Cartesian
0.000 0.000 0.000
4.523 0.000 0.000
2.262 2.419 0.000
4.523 2.503 2.333
2.351 0.000 2.333
2.262 -2.419 0.000
6.696 0.000 2.333
4.523 -2.503 2.333
```

---

(3)
Starting from a structure optimized by DFT (PBE), the powder diffractogram of Dy2Pd17 was computed for Cu Kα X-rays.
Neutral-atom scattering factors, no anomalous dispersion.

Principal peaks in the range 2θ from 10° to 90°, low angle first:
| 2θ (°) | Rel. int. |
| --- | --- |
| 34.06 | 24 |
| 34.86 | 13 |
| 39.57 | 100 |
| 39.81 | 23 |
| 40.27 | 17 |
| 44.49 | 34 |
| 44.68 | 8 |
| 57.35 | 9 |
| 64.69 | 13 |
| 71.70 | 16 |
| 72.15 | 19 |
| 85.29 | 12 |

Cell and atoms:
```
Dy2Pd17
1.0
4.560 2.633 4.529
-4.560 2.633 4.529
0.000 -5.265 4.529
Dy Pd
2 17
Cartesian
0.000 0.000 2.361
0.000 0.000 11.225
-2.280 -1.316 4.529
0.000 -2.678 4.373
-2.319 1.339 4.373
-1.408 -2.439 6.793
-2.816 0.000 6.793
-2.319 -1.339 9.213
0.000 0.000 5.422
-2.280 1.316 9.057
1.408 -2.439 6.793
0.000 2.633 4.529
-1.408 2.439 6.793
0.000 0.000 8.164
2.319 1.339 4.373
2.816 0.000 6.793
1.408 2.439 6.793
2.319 -1.339 9.213
0.000 2.678 9.213
```

---

(4)
Starting from a structure optimized by DFT (PBE), the powder diffractogram of YEr4Se5 was computed for Cu Kα X-rays.
Neutral-atom scattering factors, no anomalous dispersion.

Principal peaks in the range 2θ from 10° to 90°, low angle first:
| 2θ (°) | Rel. int. |
| --- | --- |
| 26.98 | 27 |
| 31.13 | 50 |
| 31.32 | 100 |
| 44.74 | 72 |
| 44.88 | 37 |
| 55.63 | 38 |
| 65.35 | 12 |
| 73.84 | 15 |
| 74.15 | 16 |
| 74.25 | 17 |
| 82.38 | 11 |
| 82.68 | 24 |

Cell and atoms:
```
YEr4Se5
1.0
-2.020 2.020 14.365
2.020 -2.020 14.365
2.020 2.020 -14.365
Y Er Se
1 4 5
Cartesian
0.000 0.000 0.000
0.000 0.000 5.854
0.000 0.000 11.558
0.000 0.000 17.173
0.000 0.000 22.877
0.000 0.000 2.934
0.000 0.000 8.690
0.000 0.000 14.365
0.000 0.000 20.041
0.000 0.000 25.796
```

---

(5)
Starting from a structure optimized by DFT (PBE), the powder diffractogram of Pa4C3Se was computed for Cu Kα X-rays.
Neutral-atom scattering factors, no anomalous dispersion.

Principal peaks in the range 2θ from 10° to 90°, low angle first:
| 2θ (°) | Rel. int. |
| --- | --- |
| 27.71 | 25 |
| 29.34 | 51 |
| 30.37 | 25 |
| 31.76 | 26 |
| 33.48 | 64 |
| 34.83 | 21 |
| 35.47 | 100 |
| 50.45 | 49 |
| 51.62 | 25 |
| 58.53 | 20 |
| 62.77 | 24 |
| 84.95 | 21 |

Cell and atoms:
```
Pa4C3Se
1.0
3.618 0.000 0.000
-1.809 3.133 0.000
0.000 0.000 25.759
Pa C Se
8 6 2
Cartesian
0.000 0.000 4.306
0.000 0.000 8.573
0.000 0.000 17.186
0.000 0.000 21.453
0.000 2.089 1.451
0.000 2.089 11.428
1.809 1.044 14.330
1.809 1.044 24.308
0.000 0.000 0.000
0.000 0.000 12.879
0.000 2.089 15.864
0.000 2.089 22.774
1.809 1.044 2.984
1.809 1.044 9.895
0.000 2.089 6.440
1.809 1.044 19.319
```